Starting from a structure optimized by DFT (GGA+U), the XRD peak list of La4MgGa2Fe2O12 was simulated for Cu Kα (λ = 1.5418 Å).
Lines closer than 0.1° are merged.

```
21
Lattice="5.6049 0.0000 0.0000 -0.3105 6.1514 0.0000 -0.0070 -0.1281 8.0169" Properties=species:S:1:pos:R:3 pbc="T T T"
La 0.0000 0.0000 0.0000
La 0.0882 4.9033 4.3959
La 2.8087 1.8668 4.4280
La 3.1966 2.8086 0.2704
Mg 0.6737 3.8523 1.3628
Ga 0.1366 2.3828 6.3051
Ga 2.8542 5.4187 2.3786
Fe 0.0384 1.6229 2.7526
Fe 2.6713 5.3033 6.2939
O 0.6873 2.2709 0.2483
O 1.2280 0.4706 5.9232
O 1.4619 0.2763 2.8203
O 1.7322 3.4054 5.9168
O 1.8865 3.5525 2.8167
O 1.9919 5.0796 0.4107
O 3.3863 5.6102 4.3034
O 4.0254 1.0435 1.8140
O 4.0951 1.1847 6.6893
O 4.4922 4.4350 1.7743
O 4.5945 4.0818 6.7417
O 5.1357 2.4963 4.4082
```

Largest 12 diffraction maxima, by intensity, 15° ≤ 2θ ≤ 90°:
hkl -1 1 2, 2θ 30.82, intensity 100.0; hkl 1 1 2, 2θ 31.63, intensity 91.7; hkl 2 0 0, 2θ 31.98, intensity 74.0; hkl 1 1 -2, 2θ 31.27, intensity 66.9; hkl 0 2 -1, 2θ 30.98, intensity 50.9; hkl 1 -1 2, 2θ 30.51, intensity 50.9; hkl 0 0 4, 2θ 45.26, intensity 44.8; hkl 0 2 0, 2θ 29.04, intensity 38.2; hkl 1 1 -3, 2θ 40.24, intensity 27.9; hkl -1 3 1, 2θ 48.01, intensity 27.2; hkl 0 0 2, 2θ 22.18, intensity 24.3; hkl 1 3 1, 2θ 49.61, intensity 24.2